Diffraction record for Na2UI4O15. The XRD peak list is theoretical, not measured: it uses the PBE geometry in Alexandria and a wavelength of 1.5418 Å.
Kinematic intensities with the Lorentz-polarization factor, no thermal factor.

Principal peaks in the range 10° ≤ 2θ ≤ 90°, in order of rising 2θ:
Position (°2θ)	intensity
13.01	56
17.25	26
17.45	29
19.09	33
26.20	100
27.56	43
28.05	46
31.33	38
44.48	21
45.13	27

Atomic structure:
```
data_Na2UI4O15
_chemical_formula_sum 'Na4 U2 I8 O30'
_symmetry_space_group_name_H-M 'C 1 2 1'
_symmetry_Int_Tables_number 5
_symmetry_space_group_name_Hall 'C 2y'
_cell_length_a 11.467
_cell_length_b 8.453
_cell_length_c 7.744
_cell_angle_alpha 90.00
_cell_angle_beta 91.07
_cell_angle_gamma 90.00
loop_
_atom_site_label
_atom_site_type_symbol
_atom_site_fract_x
_atom_site_fract_y
_atom_site_fract_z
_atom_site_occupancy
Na1 Na 0.000 0.000 0.000 1
Na2 Na 0.000 0.470 0.000 1
U1 U 0.000 0.992 0.500 1
I1 I 0.222 0.723 0.769 1
I2 I 0.244 0.230 0.777 1
O1 O 0.000 0.247 0.500 1
O2 O 0.066 0.986 0.283 1
O3 O 0.128 0.213 0.936 1
O4 O 0.133 0.807 0.588 1
O5 O 0.140 0.798 0.954 1
O6 O 0.149 0.184 0.569 1
O7 O 0.161 0.526 0.772 1
O8 O 0.188 0.536 0.212 1
```

---

Diffraction record for Ga4Ni. The XRD peak list is theoretical, not measured: it uses the PBE geometry in Alexandria and a wavelength of 1.5418 Å.
Kinematic intensities with the Lorentz-polarization factor, no thermal factor.

Principal peaks in the range 10° ≤ 2θ ≤ 90°, in order of rising 2θ:
Position (°2θ)	intensity
35.83	100
36.06	26
36.57	14
37.81	24
42.93	38
43.85	24
44.16	95
45.49	14
45.67	28
46.00	22

Atomic structure:
```
data_Ga4Ni
_chemical_formula_sum 'Ga48 Ni12'
_symmetry_space_group_name_H-M 'C 1 2/c 1'
_symmetry_Int_Tables_number 15
_symmetry_space_group_name_Hall '-C 2yc'
_cell_length_a 12.841
_cell_length_b 11.599
_cell_length_c 8.503
_cell_angle_alpha 90.00
_cell_angle_beta 128.78
_cell_angle_gamma 90.00
loop_
_atom_site_label
_atom_site_type_symbol
_atom_site_fract_x
_atom_site_fract_y
_atom_site_fract_z
_atom_site_occupancy
Ga1 Ga 0.000 0.144 0.250 1
Ga2 Ga 0.037 0.334 0.094 1
Ga3 Ga 0.039 0.100 0.955 1
Ga4 Ga 0.109 0.448 0.760 1
Ga5 Ga 0.215 0.223 0.815 1
Ga6 Ga 0.247 0.039 0.368 1
Ga7 Ga 0.250 0.250 0.500 1
Ni1 Ni 0.000 0.270 0.750 1
Ni2 Ni 0.191 0.072 0.588 1
```

---

Diffraction record for Tb3Pm3Pr8. The XRD peak list is theoretical, not measured: it uses the PBE geometry in Alexandria and a wavelength of 1.5418 Å.
Kinematic intensities with the Lorentz-polarization factor, no thermal factor.

Principal peaks in the range 10° ≤ 2θ ≤ 90°, in order of rising 2θ:
Position (°2θ)	intensity
28.30	12
28.90	23
29.87	22
31.10	100
32.77	32
43.63	16
49.72	8
55.29	13
59.79	9
60.83	11

Atomic structure:
```
data_Tb3Pm3Pr8
_chemical_formula_sum 'Tb6 Pm6 Pr16'
_symmetry_space_group_name_H-M 'I m m m'
_symmetry_Int_Tables_number 71
_symmetry_space_group_name_Hall '-I 2 2'
_cell_length_a 5.760
_cell_length_b 11.002
_cell_length_c 15.522
_cell_angle_alpha 90.00
_cell_angle_beta 90.00
_cell_angle_gamma 90.00
loop_
_atom_site_label
_atom_site_type_symbol
_atom_site_fract_x
_atom_site_fract_y
_atom_site_fract_z
_atom_site_occupancy
Tb1 Tb 0.000 0.000 0.000 1
Tb2 Tb 0.000 0.500 0.318 1
Pm1 Pm 0.000 0.000 0.500 1
Pm2 Pm 0.000 0.306 0.500 1
Pr1 Pr 0.000 0.157 0.275 1
Pr2 Pr 0.000 0.337 0.104 1
```

---

Diffraction record for Ba5As2S2O12. The XRD peak list is theoretical, not measured: it uses the PBE geometry in Alexandria and a wavelength of 1.5418 Å.
Kinematic intensities with the Lorentz-polarization factor, no thermal factor.

Principal peaks in the range 10° ≤ 2θ ≤ 90°, in order of rising 2θ:
Position (°2θ)	intensity
24.68	22
25.34	26
27.82	94
27.90	49
28.22	100
28.81	29
40.75	27
43.20	42
44.74	17
46.39	18

Atomic structure:
```
data_Ba5As2S2O12
_chemical_formula_sum 'Ba10 As4 S4 O24'
_symmetry_space_group_name_H-M 'P 1 m 1'
_symmetry_Int_Tables_number 6
_symmetry_space_group_name_Hall 'P -2y'
_cell_length_a 10.699
_cell_length_b 7.829
_cell_length_c 10.734
_cell_angle_alpha 90.00
_cell_angle_beta 119.82
_cell_angle_gamma 90.00
loop_
_atom_site_label
_atom_site_type_symbol
_atom_site_fract_x
_atom_site_fract_y
_atom_site_fract_z
_atom_site_occupancy
Ba1 Ba 0.000 0.000 0.000 1
Ba2 Ba 0.002 0.500 0.232 1
Ba3 Ba 0.103 0.251 0.678 1
Ba4 Ba 0.432 0.249 0.335 1
Ba5 Ba 0.524 0.500 0.986 1
Ba6 Ba 0.539 0.000 0.764 1
Ba7 Ba 0.759 0.000 0.233 1
Ba8 Ba 0.772 0.500 0.771 1
As1 As 0.187 0.500 0.041 1
As2 As 0.356 0.000 0.965 1
As3 As 0.389 0.500 0.586 1
As4 As 0.803 0.000 0.619 1
S1 S 0.147 0.000 0.418 1
S2 S 0.735 0.500 0.382 1
S3 S 0.769 0.250 0.009 1
O1 O 0.055 0.156 0.371 1
O2 O 0.110 0.500 0.856 1
O3 O 0.138 0.321 0.100 1
O4 O 0.170 0.000 0.881 1
O5 O 0.235 0.000 0.580 1
O6 O 0.245 0.000 0.356 1
O7 O 0.279 0.500 0.662 1
O8 O 0.292 0.500 0.400 1
O9 O 0.374 0.500 0.129 1
O10 O 0.400 0.178 0.900 1
O11 O 0.441 0.000 0.151 1
O12 O 0.499 0.322 0.634 1
O13 O 0.618 0.000 0.507 1
O14 O 0.660 0.500 0.469 1
O15 O 0.689 0.344 0.289 1
O16 O 0.860 0.179 0.727 1
O17 O 0.895 0.000 0.524 1
O18 O 0.895 0.500 0.478 1
```

---

Q: Number 2 is which compound?
A: Ga4Ni